For Na3LaMgP2SO12, a DFT-relaxed cell (PBE, the Materials Project) gives the computed powder diffraction line list in this record (copper Kα).
No peak broadening, texture or thermal motion is included.

Atomic structure:
abc: 16.1852 9.4090 9.3493
angles: 90.00 123.59 90.00
Space group Cc (No. 9)
Asymmetric unit:
Na 0.0000 0.0638 0.0000 [4 per cell]
Na 0.3627 0.0712 0.0042 [4 per cell]
Na 0.4224 0.2666 0.7388 [4 per cell]
La 0.1047 0.2558 0.7246 [4 per cell]
Mg 0.2876 0.2598 0.3136 [4 per cell]
P 0.2035 0.0479 0.5222 [4 per cell]
P 0.3505 0.4113 0.0384 [4 per cell]
S 0.0366 0.3873 0.0195 [4 per cell]
O 0.0219 0.4580 0.5350 [4 per cell]
O 0.0247 0.3694 0.8520 [4 per cell]
O 0.1285 0.1441 0.5312 [4 per cell]
O 0.1344 0.3348 0.1607 [4 per cell]
O 0.1367 0.0417 0.8574 [4 per cell]
O 0.2576 0.3470 0.8784 [4 per cell]
O 0.2620 0.0534 0.1792 [4 per cell]
O 0.2783 0.1373 0.5042 [4 per cell]
O 0.3531 0.3726 0.2014 [4 per cell]
O 0.3557 0.4261 0.5178 [4 per cell]
O 0.4389 0.3398 0.0387 [4 per cell]
O 0.4570 0.1913 0.5207 [4 per cell]

The 10 most intense peaks (2θ = 10–90°), low angle first:
13.35°, rel. 100, hkl 1 1 -1; 18.57°, rel. 71, hkl 1 1 1; 18.98°, rel. 96, hkl 2 0 -2; 21.92°, rel. 37, hkl 3 1 0; 22.07°, rel. 33, hkl 0 2 1; 26.89°, rel. 33, hkl 2 2 -2; 29.48°, rel. 78, hkl 3 1 1; 29.78°, rel. 71, hkl 0 2 2; 30.23°, rel. 73, hkl 3 1 -3; 33.04°, rel. 67, hkl 3 3 -1